This entry pairs a crystal structure of LiLa4CoO8 with its calculated X-ray diffraction stick pattern. Radiation: Cu Kα. Structure: a cell relaxed with GGA+U.

Structure:
```
data_LiLa4CoO8
_symmetry_space_group_name_H-M 'P 1'
_symmetry_Int_Tables_number 1
_cell_length_a 5.3694
_cell_length_b 12.7992
_cell_length_c 12.8047
_cell_angle_alpha 60.46
_cell_angle_beta 78.15
_cell_angle_gamma 78.20
loop_
_symmetry_equiv_pos_as_xyz
'x,y,z'
loop_
_atom_site_label
_atom_site_type_symbol
_atom_site_fract_x
_atom_site_fract_y
_atom_site_fract_z
Li1 Li 0.0000 0.0000 0.0000
Li2 Li 0.2474 0.7506 0.7504
Li3 Li 0.5021 0.4996 0.4994
Li4 Li 0.7496 0.2499 0.2499
La1 La 0.0038 0.3620 0.6376
La2 La 0.0044 0.6368 0.3617
La3 La 0.1226 0.0123 0.7375
La4 La 0.1261 0.7376 0.0123
La5 La 0.2496 0.1121 0.3879
La6 La 0.2498 0.3879 0.1110
La7 La 0.3746 0.4894 0.7607
La8 La 0.3750 0.7609 0.4891
La9 La 0.4999 0.1378 0.8617
La10 La 0.5006 0.8617 0.1381
La11 La 0.6251 0.2382 0.5120
La12 La 0.6254 0.5119 0.2380
La13 La 0.7452 0.6133 0.8883
La14 La 0.7450 0.8885 0.6129
La15 La 0.8732 0.2623 0.9874
La16 La 0.8766 0.9874 0.2624
Co1 Co 0.1253 0.3746 0.3745
Co2 Co 0.3749 0.1249 0.1249
Co3 Co 0.6243 0.8754 0.8753
Co4 Co 0.8747 0.6253 0.6250
O1 O 0.9998 0.1815 0.8196
O2 O 0.0002 0.8197 0.1814
O3 O 0.0564 0.6871 0.6870
O4 O 0.0679 0.1856 0.1851
O5 O 0.1254 0.1955 0.5541
O6 O 0.1247 0.5546 0.1958
O7 O 0.1888 0.0646 0.0640
O8 O 0.1933 0.5616 0.5617
O9 O 0.2484 0.5687 0.9319
O10 O 0.2482 0.9320 0.5686
O11 O 0.3101 0.4354 0.4353
O12 O 0.3188 0.9360 0.9359
O13 O 0.3741 0.9454 0.3042
O14 O 0.3755 0.3047 0.9456
O15 O 0.4308 0.3138 0.3136
O16 O 0.4385 0.8150 0.8147
O17 O 0.5011 0.3179 0.6816
O18 O 0.5012 0.6816 0.3178
O19 O 0.5561 0.6884 0.6884
O20 O 0.5611 0.1852 0.1857
O21 O 0.6237 0.6951 0.0545
O22 O 0.6254 0.0548 0.6953
O23 O 0.6817 0.0644 0.0644
O24 O 0.6932 0.5630 0.5630
O25 O 0.7498 0.0682 0.4304
O26 O 0.7496 0.4304 0.0681
O27 O 0.8100 0.9360 0.9360
O28 O 0.8204 0.4356 0.4356
O29 O 0.8750 0.4504 0.7994
O30 O 0.8746 0.7995 0.4505
O31 O 0.9293 0.8145 0.8145
O32 O 0.9405 0.3137 0.3136
```

Principal peaks in the range 10 to 90 degrees two-theta, sorted by position:
24.37 deg, rel. 38, (-1 1 2); 24.50 deg, rel. 38, (1 3 2); 27.68 deg, rel. 33, (0 2 -2); 31.42 deg, rel. 100, (1 1 4); 33.36 deg, rel. 98, (2 1 1); 43.88 deg, rel. 67, (0 6 2)